For Na3Li6Mn5O9, DFT lattice parameters and positions (GGA+U) gives the calculated powder diffraction line list in this record (copper Kα).
Lines closer than 0.1° are merged.

Cell and atoms:
Unit cell a=5.900 b=5.901 c=9.258 alpha=96.25 beta=96.25 gamma=119.64
Space group P1 (No. 1)
Unique sites:
Na1 0.000 0.000 0.000 [1 per cell]
Na2 0.321 0.680 0.000 [1 per cell]
Na3 0.678 0.357 0.006 [1 per cell]
Li1 0.093 0.772 0.248 [1 per cell]
Li2 0.144 0.504 0.428 [1 per cell]
Li3 0.237 0.188 0.510 [1 per cell]
Li4 0.509 0.916 0.510 [1 per cell]
Li5 0.814 0.493 0.542 [1 per cell]
Li6 0.825 0.823 0.428 [1 per cell]
Mn1 0.270 0.949 0.736 [1 per cell]
Mn2 0.417 0.417 0.250 [1 per cell]
Mn3 0.567 0.578 0.737 [1 per cell]
Mn4 0.737 0.096 0.250 [1 per cell]
Mn5 0.900 0.247 0.738 [1 per cell]
O1 0.065 0.418 0.199 [1 per cell]
O2 0.139 0.818 0.496 [1 per cell]
O3 0.268 0.292 0.831 [1 per cell]
O4 0.382 0.061 0.169 [1 per cell]
O5 0.504 0.553 0.491 [1 per cell]
O6 0.613 0.947 0.830 [1 per cell]
O7 0.739 0.745 0.199 [1 per cell]
O8 0.874 0.183 0.491 [1 per cell]
O9 0.945 0.624 0.802 [1 per cell]

Top 8 peaks for 2θ from 10° to 90°, by angle:
2θ/deg	Rel. int.	index
19.6	99	0 0 2
30.5	77	2 -1 0
31.0	39	-2 1 1
34.6	78	1 1 1
38.2	53	1 1 -3
38.4	100	2 -1 2
39.9	56	0 0 4
53.6	80	3 0 -1